Record 1
CaPt3: calculated powder diffractogram (Cu Kα (weighted mean of Kα1 and Kα2)), based on the PBE geometry in Alexandria.

Atomic structure:
Unit cell a=2.9120 b=4.7518 c=5.2654 alpha=90.00 beta=99.19 gamma=90.00
Space group P2/m (No. 10)
Asymmetric unit:
Ca  0.0000  0.0000  0.0000 (multiplicity 1)
Pt  0.3818  0.5000  0.7360 (multiplicity 2)
Pt  0.5000  0.0000  0.5000 (multiplicity 1)

Peak list (12 most intense, 2θ = 10–80°, sorted by position)
17.06 deg, 5.198 Å, I = 35, (0 0 1)
18.67 deg, 4.752 Å, I = 19, (0 1 0)
31.11 deg, 2.875 Å, I = 47, (1 0 0)
37.87 deg, 2.376 Å, I = 57, (0 2 0)
38.12 deg, 2.361 Å, I = 40, (1 0 1)
38.29 deg, 2.351 Å, I = 64, (1 1 -1)
39.52 deg, 2.280 Å, I = 100, (0 1 2)
47.28 deg, 1.922 Å, I = 37, (1 1 -2)
49.79 deg, 1.831 Å, I = 26, (1 2 0)
54.81 deg, 1.675 Å, I = 43, (1 2 1)
69.50 deg, 1.353 Å, I = 20, (0 3 2)
70.68 deg, 1.333 Å, I = 22, (1 1 3)

***

Record 2
Ca5Pt7: calculated powder diffractogram (Cu Kα (weighted mean of Kα1 and Kα2)), based on the PBE geometry in Alexandria.

Atomic structure:
Unit cell a=4.6067 b=8.8373 c=5.8685 alpha=90.00 beta=90.00 gamma=90.00
Space group Pmm2 (No. 25)
Asymmetric unit:
Ca  0.0000  0.0000  0.0000 (multiplicity 1)
Ca  0.0000  0.3282  0.3543 (multiplicity 2)
Ca  0.5000  0.1828  0.6697 (multiplicity 2)
Pt  0.0000  0.0000  0.4949 (multiplicity 1)
Pt  0.0000  0.3478  0.8648 (multiplicity 2)
Pt  0.5000  0.1672  0.1600 (multiplicity 2)
Pt  0.5000  0.5000  0.1332 (multiplicity 1)
Pt  0.5000  0.5000  0.6661 (multiplicity 1)

Peak list (12 most intense, 2θ = 10–80°, sorted by position)
10.01 deg, 8.837 Å, I = 14, (0 1 0)
18.15 deg, 4.889 Å, I = 30, (0 1 1)
24.57 deg, 3.624 Å, I = 24, (1 0 1)
26.59 deg, 3.353 Å, I = 20, (1 1 1)
36.20 deg, 2.482 Å, I = 100, (1 3 0)
36.30 deg, 2.475 Å, I = 76, (1 0 2)
37.75 deg, 2.383 Å, I = 17, (1 1 2)
39.11 deg, 2.303 Å, I = 41, (2 0 0)
43.53 deg, 2.079 Å, I = 45, (0 3 2)
59.94 deg, 1.543 Å, I = 35, (2 3 2)
68.99 deg, 1.361 Å, I = 27, (3 3 0)
75.05 deg, 1.266 Å, I = 17, (1 6 2)

***

Record 3
Ca5Pt7: calculated powder diffractogram (Cu Kα (weighted mean of Kα1 and Kα2)), based on the PBE geometry in Alexandria.

Atomic structure:
Unit cell a=5.8603 b=8.7065 c=9.0979 alpha=90.00 beta=90.00 gamma=90.00
Space group C222 (No. 21)
Asymmetric unit:
Ca  0.0000  0.0000  0.0000 (multiplicity 2)
Ca  0.0000  0.5000  0.3340 (multiplicity 4)
Ca  0.2500  0.2500  0.8347 (multiplicity 4)
Pt  0.0000  0.0000  0.3470 (multiplicity 4)
Pt  0.0000  0.5000  0.0000 (multiplicity 2)
Pt  0.2500  0.2500  0.1816 (multiplicity 4)
Pt  0.2500  0.2500  0.4962 (multiplicity 4)

Peak list (12 most intense, 2θ = 10–80°, sorted by position)
20.72 deg, 4.288 Å, I = 63, (1 1 1)
26.84 deg, 3.322 Å, I = 18, (1 1 2)
35.91 deg, 2.501 Å, I = 16, (1 3 1)
36.10 deg, 2.488 Å, I = 100, (0 2 3)
36.98 deg, 2.431 Å, I = 97, (2 2 0)
41.49 deg, 2.177 Å, I = 35, (0 4 0)
42.92 deg, 2.107 Å, I = 62, (2 0 3)
43.95 deg, 2.060 Å, I = 14, (1 1 4)
61.22 deg, 1.514 Å, I = 43, (2 4 3)
72.72 deg, 1.300 Å, I = 14, (2 6 0)
73.63 deg, 1.287 Å, I = 25, (2 2 6)
75.27 deg, 1.262 Å, I = 24, (4 2 3)

***

Record 4
Ca5Pt7: calculated powder diffractogram (Cu Kα (weighted mean of Kα1 and Kα2)), based on the PBE geometry in Alexandria.

Atomic structure:
Unit cell a=7.4713 b=4.3631 c=8.1298 alpha=90.00 beta=93.06 gamma=90.00
Space group Pm (No. 6)
Asymmetric unit:
Ca  0.0000  0.0000  0.0000 (multiplicity 1)
Ca  0.0331  0.5000  0.3983 (multiplicity 1)
Ca  0.3028  0.0000  0.6673 (multiplicity 1)
Ca  0.5116  0.0000  0.0443 (multiplicity 1)
Ca  0.5514  0.5000  0.4160 (multiplicity 1)
Pt  0.2740  0.0000  0.3153 (multiplicity 1)
Pt  0.2782  0.5000  0.9008 (multiplicity 1)
Pt  0.6095  0.5000  0.7919 (multiplicity 1)
Pt  0.7511  0.0000  0.6439 (multiplicity 1)
Pt  0.7646  0.5000  0.1095 (multiplicity 1)
Pt  0.7901  0.0000  0.3169 (multiplicity 1)
Pt  0.9641  0.5000  0.7458 (multiplicity 1)

Peak list (12 most intense, 2θ = 10–80°, sorted by position)
11.86 deg, 7.461 Å, I = 49, (1 0 0)
21.90 deg, 4.059 Å, I = 31, (0 0 2)
23.14 deg, 3.843 Å, I = 100, (0 1 1)
23.85 deg, 3.730 Å, I = 34, (2 0 0)
24.40 deg, 3.648 Å, I = 27, (1 0 -2)
33.05 deg, 2.710 Å, I = 47, (2 1 -1)
33.91 deg, 2.644 Å, I = 49, (2 1 1)
37.97 deg, 2.370 Å, I = 42, (2 1 -2)
39.17 deg, 2.300 Å, I = 62, (0 1 3)
41.39 deg, 2.182 Å, I = 56, (0 2 0)
41.61 deg, 2.171 Å, I = 36, (1 1 3)
42.81 deg, 2.112 Å, I = 25, (3 1 -1)

***

Record 5
Ca3Pt: calculated powder diffractogram (Cu Kα (weighted mean of Kα1 and Kα2)), based on the PBE geometry in Alexandria.

Atomic structure:
Unit cell a=7.7667 b=9.4790 c=6.5933 alpha=90.00 beta=90.00 gamma=90.00
Space group Pnma (No. 62)
Asymmetric unit:
Ca  0.0395  0.2500  0.1407 (multiplicity 4)
Ca  0.1693  0.0649  0.6613 (multiplicity 8)
Pt  0.1250  0.7500  0.4551 (multiplicity 4)

Peak list (12 most intense, 2θ = 10–80°, sorted by position)
17.65 deg, 5.026 Å, I = 72, (1 0 1)
18.72 deg, 4.739 Å, I = 61, (0 2 0)
19.99 deg, 4.441 Å, I = 100, (1 1 1)
24.78 deg, 3.593 Å, I = 41, (2 1 0)
25.84 deg, 3.448 Å, I = 29, (1 2 1)
30.94 deg, 2.890 Å, I = 39, (1 1 2)
33.10 deg, 2.706 Å, I = 32, (0 2 2)
33.50 deg, 2.675 Å, I = 58, (1 3 1)
36.67 deg, 2.451 Å, I = 43, (2 3 0)
37.01 deg, 2.429 Å, I = 47, (2 1 2)
38.55 deg, 2.336 Å, I = 29, (3 1 1)
58.47 deg, 1.579 Å, I = 33, (0 6 0)

***

Record 6
CaPt: calculated powder diffractogram (Cu Kα (weighted mean of Kα1 and Kα2)), based on the PBE geometry in Alexandria.

Atomic structure:
Unit cell a=3.9578 b=6.4212 c=10.3007 alpha=90.00 beta=90.00 gamma=90.00
Space group Pmmm (No. 47)
Asymmetric unit:
Ca  0.0000  0.0000  0.0000 (multiplicity 1)
Ca  0.0000  0.0000  0.2953 (multiplicity 2)
Ca  0.0000  0.5000  0.0000 (multiplicity 1)
Ca  0.5000  0.2838  0.5000 (multiplicity 2)
Pt  0.0000  0.5000  0.3164 (multiplicity 2)
Pt  0.5000  0.2725  0.1777 (multiplicity 4)

Peak list (12 most intense, 2θ = 10–80°, sorted by position)
13.79 deg, 6.421 Å, I = 43, (0 1 0)
17.22 deg, 5.150 Å, I = 59, (0 0 2)
24.09 deg, 3.694 Å, I = 16, (1 0 1)
34.58 deg, 2.594 Å, I = 100, (1 0 3)
36.02 deg, 2.493 Å, I = 92, (1 2 0)
37.39 deg, 2.405 Å, I = 16, (1 1 3)
38.38 deg, 2.345 Å, I = 71, (0 2 3)
40.18 deg, 2.244 Å, I = 28, (1 2 2)
45.86 deg, 1.979 Å, I = 25, (2 0 0)
61.29 deg, 1.512 Å, I = 37, (2 2 3)
66.08 deg, 1.414 Å, I = 22, (1 2 6)
68.77 deg, 1.365 Å, I = 21, (1 4 3)